Simulated powder diffractogram
Compound: V2NiH4O8
Radiation: Cu Kα (weighted mean of Kα1 and Kα2)
Structure: a PBE+U-relaxed structure
No peak broadening, texture or thermal motion is included.

Main lines, by angle (2θ = 15–90°):
2θ (°), I (rel.)
17.36, 66
21.64, 52
22.19, 100
25.87, 34
27.30, 59
32.57, 22
37.91, 13
42.45, 16
50.75, 21
52.00, 13

Structural model:
```
V2NiH4O8
1.0
5.6497 0.0000 0.0000
0.0000 10.7890 0.0000
0.0000 0.0000 11.9605
V Ni H O
8 4 16 32
Cartesian
1.1174 0.3419 2.0865 V
1.1174 5.0526 2.0865 V
1.7075 5.7364 8.0667 V
1.7075 10.4471 8.0667 V
3.9423 0.3419 3.8938 V
3.9423 5.0526 3.8938 V
4.5323 5.7364 9.8740 V
4.5323 10.4471 9.8740 V
0.1146 8.0917 0.4908 Ni
2.7102 2.6972 6.4710 Ni
2.9395 8.0917 5.4895 Ni
5.5351 2.6972 11.4697 Ni
0.3366 8.0917 4.9552 H
0.7306 1.9175 4.8767 H
0.7306 3.4770 4.8767 H
1.0698 8.0917 3.5138 H
1.7551 2.6972 9.4940 H
2.0942 7.3120 10.8570 H
2.0942 8.8714 10.8570 H
2.4883 2.6972 10.9355 H
3.1614 8.0917 1.0250 H
3.5555 1.9175 1.1035 H
3.5555 3.4770 1.1035 H
3.8947 8.0917 2.4664 H
4.5799 2.6972 8.4467 H
4.9191 7.3120 7.0837 H
4.9191 8.8714 7.0837 H
5.3132 2.6972 7.0052 H
0.0349 0.7814 3.4979 O
0.0349 4.6131 3.4979 O
0.6523 1.2393 0.7627 O
0.6523 4.1551 0.7627 O
0.9020 2.6972 5.4568 O
0.9490 6.6950 1.7594 O
0.9490 9.4885 1.7594 O
1.1933 8.0917 4.4855 O
1.6315 2.6972 10.4657 O
1.8759 1.3005 7.7396 O
1.8759 4.0940 7.7396 O
1.9228 8.0917 11.4371 O
2.1725 6.6338 6.7429 O
2.1725 9.5496 6.7429 O
2.7900 6.1759 9.4782 O
2.7900 10.0076 9.4782 O
2.8597 0.7814 2.4823 O
2.8597 4.6131 2.4823 O
3.4772 1.2393 5.2175 O
3.4772 4.1551 5.2175 O
3.7269 2.6972 0.5234 O
3.7739 6.6950 4.2208 O
3.7739 9.4885 4.2208 O
4.0182 8.0917 1.4947 O
4.4564 2.6972 7.4750 O
4.7007 1.3005 10.2011 O
4.7007 4.0940 10.2011 O
4.7477 8.0917 6.5036 O
4.9974 6.6338 11.1978 O
4.9974 9.5496 11.1978 O
5.6149 6.1759 8.4625 O
5.6149 10.0076 8.4625 O
```